Record 1
K3SnIrCl8: theoretical powder X-ray diffraction pattern (CuKα), based on DFT lattice parameters and positions (GGA-PBE).

Most intense lines, 15 to 90 degrees two-theta, by angle:
2theta  I_rel
18.4  89
21.2  56
23.3  100
29.9  69
30.1  59
30.2  92
35.3  52
37.3  75
38.0  68
54.3  54

Crystal structure
```
K3SnIrCl8
1.0
9.6356 0.0000 0.0000
0.0000 9.7730 0.0000
0.0000 0.0000 8.1311
K Sn Ir Cl
6 2 2 16
Direct
0.0000 0.1290 0.0000
0.2445 0.6252 0.9427
0.2555 0.3748 0.4427
0.5000 0.8710 0.5000
0.7445 0.3748 0.4427
0.7555 0.6252 0.9427
0.0000 0.9008 0.5158
0.5000 0.0992 0.0158
0.0000 0.6870 0.3397
0.5000 0.3130 0.8397
0.0000 0.1376 0.4175
0.0000 0.4716 0.1847
0.0000 0.5614 0.5929
0.0000 0.8077 0.0860
0.1877 0.9310 0.7102
0.2479 0.6849 0.3360
0.2521 0.3151 0.8360
0.3123 0.0690 0.2102
0.5000 0.1923 0.5860
0.5000 0.4386 0.0929
0.5000 0.5284 0.6847
0.5000 0.8624 0.9175
0.6877 0.0690 0.2102
0.7479 0.3151 0.8360
0.7521 0.6849 0.3360
0.8123 0.9310 0.7102
```



Record 2
La8Ir3Cl4: theoretical powder X-ray diffraction pattern (CuKα), based on DFT lattice parameters and positions (GGA-PBE).

Most intense lines, 15 to 90 degrees two-theta, by angle:
2theta  I_rel
24.2  15
28.5  100
36.4  39
39.5  35
42.1  45
43.8  18
49.8  19
51.6  19
68.7  15
76.0  14

Crystal structure
```
La8Ir3Cl4
1.0
4.2930 2.4786 7.7124
-4.2930 2.4786 7.7124
0.0000 -4.9572 7.7124
La Ir Cl
8 3 4
Direct
0.2149 0.7446 0.7446
0.2307 0.2307 0.2307
0.2554 0.2554 0.7851
0.2554 0.7851 0.2554
0.7446 0.2149 0.7446
0.7446 0.7446 0.2149
0.7693 0.7693 0.7693
0.7851 0.2554 0.2554
0.0000 0.0000 0.5000
0.0000 0.5000 0.0000
0.5000 0.0000 0.0000
0.0000 0.0000 0.0000
0.3603 0.3603 0.3603
0.5000 0.5000 0.5000
0.6397 0.6397 0.6397
```